1.
For NaZrNb4N8, a GGA-PBE-relaxed structure gives the calculated powder diffraction line list in this record (a wavelength of 1.5418 Å).
Neutral-atom scattering factors, no anomalous dispersion.

Structural model:
Cell: 6.2797 6.2797 15.8427 Å, 90.00 90.00 120.00°
Space group R3m (No. 160, hexagonal axes)
Unique sites:
Na 0.0000 0.0000 0.0000
Zr 0.0000 0.0000 0.3800
Nb 0.0000 0.0000 0.6252
Nb 0.1694 0.3388 0.8339
N 0.0000 0.0000 0.2437
N 0.0000 0.0000 0.7588
N 0.0043 0.5021 0.2425
N 0.0168 0.5084 0.7648

Peak list (12 most intense, 2θ = 10–90°, by angle)
d = 5.281 Å, 16.8°, I 31, (0 0 3)
d = 3.202 Å, 27.9°, I 72, (1 0 4)
d = 2.738 Å, 32.7°, I 46, (0 1 5)
d = 2.699 Å, 33.2°, I 83, (1 1 3)
d = 2.680 Å, 33.4°, I 100, (0 2 1)
d = 2.572 Å, 34.9°, I 26, (2 0 2)
d = 1.824 Å, 50.0°, I 27, (2 1 4)
d = 1.740 Å, 52.6°, I 31, (0 2 7)
d = 1.724 Å, 53.1°, I 24, (1 2 5)
d = 1.715 Å, 53.4°, I 21, (0 3 3)
d = 1.601 Å, 57.6°, I 43, (2 0 8)
d = 1.570 Å, 58.8°, I 42, (2 2 0)



2.
For Mg3MnH7, a GGA-PBE-relaxed structure gives the calculated powder diffraction line list in this record (a wavelength of 1.5418 Å).
Neutral-atom scattering factors, no anomalous dispersion.

Structural model:
Cell: 4.6377 4.6377 10.2686 Å, 90.00 90.00 120.00°
Space group P6_3/mmc (No. 194)
Unique sites:
Mg 0.0000 0.0000 0.2500
Mg 0.3333 0.6667 0.0664
Mn 0.0000 0.0000 0.0000
H 0.1643 0.3286 0.5932
H 0.3333 0.6667 0.2500

Peak list (12 most intense, 2θ = 10–90°, by angle)
d = 5.134 Å, 17.3°, I 73, (0 0 2)
d = 4.016 Å, 22.1°, I 86, (1 0 0)
d = 3.740 Å, 23.8°, I 14, (1 0 1)
d = 2.605 Å, 34.4°, I 24, (1 0 3)
d = 2.319 Å, 38.8°, I 100, (1 1 0)
d = 2.163 Å, 41.8°, I 63, (1 0 4)
d = 2.113 Å, 42.8°, I 34, (1 1 2)
d = 1.721 Å, 53.2°, I 27, (1 1 4)
d = 1.582 Å, 58.3°, I 23, (2 0 4)
d = 1.339 Å, 70.3°, I 16, (3 0 0)
d = 1.307 Å, 72.3°, I 22, (2 1 4)
d = 1.223 Å, 78.2°, I 14, (1 0 8)



3.
For Pu5GeSe5, a GGA-PBE-relaxed structure gives the calculated powder diffraction line list in this record (a wavelength of 1.5418 Å).
Neutral-atom scattering factors, no anomalous dispersion.

Structural model:
Cell: 13.128 5.842 8.366 Å, 90.00 108.90 90.00°
Space group C2/m (No. 12)
Unique sites:
Pu 0.000 0.000 0.000
Pu 0.163 0.500 0.830
Pu 0.165 0.500 0.336
Ge 0.000 0.500 0.000
Se 0.000 0.500 0.500
Se 0.169 0.000 0.842
Se 0.172 0.000 0.334

Peak list (12 most intense, 2θ = 10–90°, by angle)
d = 3.401 Å, 26.2°, I 45, (1 1 -2)
d = 3.378 Å, 26.4°, I 44, (3 1 0)
d = 2.951 Å, 30.3°, I 90, (4 0 -2)
d = 2.934 Å, 30.5°, I 89, (2 0 2)
d = 2.921 Å, 30.6°, I 88, (0 2 0)
d = 2.091 Å, 43.3°, I 34, (2 0 -4)
d = 2.076 Å, 43.6°, I 67, (4 2 -2)
d = 2.070 Å, 43.7°, I 100, (2 2 2)
d = 1.700 Å, 53.9°, I 39, (2 2 -4)
d = 1.689 Å, 54.3°, I 35, (6 2 0)
d = 1.308 Å, 72.2°, I 38, (2 4 2)
d = 1.197 Å, 80.2°, I 23, (2 4 -4)